Calculated X-ray powder pattern
Compound: Tb2MgW2Cl2O8
Radiation: Cu Ka
Structure: a crystal structure in the Materials Project, relaxed with PBE+U
Peak positions follow from Bragg's law for the DFT cell and can differ from measured ones.

Most intense lines, 10° ≤ 2θ ≤ 90°, in order of rising 2θ:
- 12.53 deg, rel. 22.3, (0 0 1)
- 14.95 deg, rel. 31.9, (2 0 0)
- 16.12 deg, rel. 78.6, (1 1 0)
- 25.21 deg, rel. 27.1, (0 0 2)
- 26.75 deg, rel. 100.0, (3 1 0)
- 28.39 deg, rel. 70.8, (1 1 -2)
- 28.77 deg, rel. 44.9, (0 2 0)
- 32.03 deg, rel. 26.8, (3 1 1)
- 32.59 deg, rel. 22.0, (2 0 2)
- 45.34 deg, rel. 24.4, (4 2 -2)

Structure:
```
data_Tb2MgW2Cl2O8
_chemical_formula_sum 'Tb4 Mg2 W4 Cl4 O16'
_cell_length_a 12.2426
_cell_length_b 6.2061
_cell_length_c 7.3002
_cell_angle_alpha 90.00
_cell_angle_beta 104.54
_cell_angle_gamma 90.00
_space_group_name_H-M_alt 'C 1 2 1'
_space_group_IT_number 5
_space_group_name_Hall 'C 2y'
loop_
_atom_site_label
_atom_site_fract_x
_atom_site_fract_y
_atom_site_fract_z
Tb1 0.1948 0.0000 0.3577
Mg1 0.0000 0.3423 0.5000
W1 0.1397 0.0129 0.7885
Cl1 0.0583 0.6040 0.2867
O1 0.0118 0.1021 0.2871
O2 0.1686 0.2404 0.6153
O3 0.1802 0.9719 0.0451
O4 0.2044 0.8088 0.6580
```